Structure and computed powder diffractogram of UPO5 (a DFT-relaxed cell (GGA-PBE, the Materials Project); Cu Kα (weighted mean of Kα1 and Kα2)).
Intensities are scaled so that the largest is 100.

Main lines, low angle first (5° ≤ 2θ ≤ 70°):
2θ = 16.10°, 5.505 Å, rel. 38.3, (0 1 1); 2θ = 16.79°, 5.279 Å, rel. 29.1, (1 0 0); 2θ = 19.66°, 4.515 Å, rel. 100.0, (-1 1 1); 2θ = 20.11°, 4.414 Å, rel. 32.7, (0 0 2); 2θ = 20.46°, 4.340 Å, rel. 33.2, (1 1 -1); 2θ = 20.76°, 4.278 Å, rel. 29.6, (0 2 0); 2θ = 25.18°, 3.537 Å, rel. 71.7, (0 2 -2); 2θ = 29.29°, 3.049 Å, rel. 37.5, (1 2 0); 2θ = 29.60°, 3.018 Å, rel. 47.1, (1 0 2); 2θ = 41.12°, 2.195 Å, rel. 33.1, (1 2 2)

```
data_UPO5
_cell_length_a 5.524
_cell_length_b 8.911
_cell_length_c 9.352
_cell_angle_alpha 101.90
_cell_angle_beta 103.12
_cell_angle_gamma 97.85
_space_group_name_H-M_alt 'P -1'
_space_group_IT_number 2
_space_group_name_Hall '-P 1'
loop_
_atom_site_label
_atom_site_type_symbol
_atom_site_fract_x
_atom_site_fract_y
_atom_site_fract_z
U1 U 0.147 0.203 0.451
U2 U 0.162 0.697 0.947
P1 P 0.220 0.578 0.322
P2 P 0.408 0.985 0.737
O1 O 0.068 0.684 0.406
O2 O 0.070 0.194 0.004
O3 O 0.138 0.406 0.330
O4 O 0.144 0.569 0.150
O5 O 0.223 0.029 0.604
O6 O 0.223 0.856 0.770
O7 O 0.383 0.088 0.325
O8 O 0.387 0.589 0.886
O9 O 0.476 0.877 0.130
O10 O 0.497 0.358 0.604
```

***

Structure and computed powder diffractogram of UPO5 (a DFT-relaxed cell (GGA-PBE, the Materials Project); Cu Kα (weighted mean of Kα1 and Kα2)).
Intensities are scaled so that the largest is 100.

Main lines, low angle first (5° ≤ 2θ ≤ 70°):
2θ = 13.87°, 6.384 Å, rel. 71.7, (0 0 2); 2θ = 17.69°, 5.015 Å, rel. 51.0, (1 1 1); 2θ = 21.43°, 4.146 Å, rel. 100.0, (1 1 2); 2θ = 21.63°, 4.109 Å, rel. 44.2, (0 2 1); 2θ = 25.41°, 3.505 Å, rel. 79.4, (2 0 0); 2θ = 29.40°, 3.039 Å, rel. 52.3, (0 2 3); 2θ = 32.50°, 2.755 Å, rel. 61.5, (1 1 4); 2θ = 34.26°, 2.617 Å, rel. 56.5, (1 3 1); 2θ = 39.24°, 2.296 Å, rel. 28.8, (2 2 3); 2θ = 42.49°, 2.128 Å, rel. 44.7, (0 0 6)

```
data_UPO5
_cell_length_a 7.010
_cell_length_b 8.679
_cell_length_c 12.768
_cell_angle_alpha 90.00
_cell_angle_beta 90.00
_cell_angle_gamma 90.00
_space_group_name_H-M_alt 'C m c e'
_space_group_IT_number 64
_space_group_name_Hall '-C 2ac 2'
loop_
_atom_site_label
_atom_site_type_symbol
_atom_site_fract_x
_atom_site_fract_y
_atom_site_fract_z
U1 U 0.000 0.168 0.075
P1 P 0.000 0.090 0.363
O1 O 0.000 0.058 0.914
O2 O 0.000 0.088 0.628
O3 O 0.000 0.143 0.249
O4 O 0.176 0.157 0.422
```

***

Structure and computed powder diffractogram of U2P6O21 (a DFT-relaxed cell (GGA-PBE, the Materials Project); Cu Kα (weighted mean of Kα1 and Kα2)).
Intensities are scaled so that the largest is 100.

Main lines, low angle first (5° ≤ 2θ ≤ 70°):
2θ = 13.45°, 6.584 Å, rel. 100.0, (1 1 -1); 2θ = 15.60°, 5.682 Å, rel. 25.3, (1 1 -2); 2θ = 15.75°, 5.628 Å, rel. 32.5, (1 1 2); 2θ = 18.44°, 4.810 Å, rel. 62.7, (0 0 4); 2θ = 18.87°, 4.702 Å, rel. 26.5, (1 1 3); 2θ = 19.17°, 4.629 Å, rel. 62.4, (0 2 2); 2θ = 21.07°, 4.217 Å, rel. 36.6, (2 0 -2); 2θ = 25.49°, 3.495 Å, rel. 24.3, (2 2 0); 2θ = 25.94°, 3.435 Å, rel. 37.3, (2 2 1); 2θ = 27.49°, 3.244 Å, rel. 23.1, (1 3 1)

```
data_U2P6O21
_cell_length_a 9.323
_cell_length_b 10.562
_cell_length_c 19.243
_cell_angle_alpha 90.00
_cell_angle_beta 90.76
_cell_angle_gamma 90.00
_space_group_name_H-M_alt 'C 1 c 1'
_space_group_IT_number 9
_space_group_name_Hall 'C -2yc'
loop_
_atom_site_label
_atom_site_type_symbol
_atom_site_fract_x
_atom_site_fract_y
_atom_site_fract_z
U1 U 0.000 0.066 0.000
U2 U 0.322 0.207 0.279
P1 P 0.072 0.412 0.469
P2 P 0.114 0.481 0.315
P3 P 0.122 0.284 0.137
P4 P 0.155 0.101 0.767
P5 P 0.215 0.474 0.093
P6 P 0.348 0.067 0.524
O1 O 0.005 0.154 0.762
O2 O 0.045 0.467 0.394
O3 O 0.091 0.123 0.923
O4 O 0.109 0.195 0.071
O5 O 0.134 0.341 0.289
O6 O 0.138 0.286 0.475
O7 O 0.161 0.041 0.278
O8 O 0.163 0.420 0.636
O9 O 0.166 0.481 0.009
O10 O 0.186 0.042 0.531
O11 O 0.252 0.450 0.818
O12 O 0.273 0.162 0.718
O13 O 0.276 0.226 0.177
O14 O 0.277 0.183 0.802
O15 O 0.346 0.308 0.930
O16 O 0.352 0.213 0.372
O17 O 0.388 0.477 0.080
O18 O 0.416 0.073 0.003
O19 O 0.417 0.410 0.938
O20 O 0.418 0.118 0.589
O21 O 0.484 0.049 0.278
```